Record 1
Starting from a PBE-relaxed structure, the powder XRD pattern of Nd2InReO6 was calculated for λ = 1.5418 Å (Cu Kα).

Crystal structure
a b c (Å): 5.7379 5.7379 5.7379
angles (deg): 121.61 121.61 87.24
Atoms (fractional coordinates):
Nd 0.2500 0.7500 0.5000
Nd 0.7500 0.2500 0.5000
In 0.0000 0.0000 0.0000
Re 0.5000 0.5000 0.0000
O 0.1756 0.3358 0.5114
O 0.2538 0.2538 0.0000
O 0.3358 0.8244 0.1601
O 0.6642 0.1756 0.8399
O 0.7462 0.7462 0.0000
O 0.8244 0.6642 0.4886

Main lines, low angle first (2θ = 15–90°):
2theta, Rel. int.
31.21, 100
31.97, 56
43.58, 16
45.85, 24
55.06, 24
56.51, 44
65.10, 16
72.29, 9
76.03, 10
89.96, 13


Record 2
Starting from a PBE-relaxed structure, the powder XRD pattern of Be2SbMo was calculated for λ = 1.5418 Å (Cu Kα).

Crystal structure
a b c (Å): 4.3691 4.3691 4.3691
angles (deg): 60.00 60.00 60.00
Atoms (fractional coordinates):
Be 0.0000 0.0000 0.0000
Be 0.2500 0.2500 0.2500
Sb 0.5000 0.5000 0.5000
Mo 0.7500 0.7500 0.7500

Main lines, low angle first (2θ = 15–90°):
2theta, Rel. int.
24.96, 100
28.90, 1
41.33, 96
48.89, 48
59.88, 16
65.89, 19
75.36, 32
80.83, 14
89.79, 11


Record 3
Starting from a PBE-relaxed structure, the powder XRD pattern of CdPPbF was calculated for λ = 1.5418 Å (Cu Kα).

Crystal structure
a b c (Å): 6.6482 6.6576 7.8048
angles (deg): 90.00 90.00 90.00
Atoms (fractional coordinates):
Cd 0.2097 0.0011 0.4029
Cd 0.2903 0.9989 0.9029
Cd 0.7097 0.4989 0.5971
Cd 0.7903 0.5011 0.0971
P 0.0841 0.1659 0.1298
P 0.4159 0.8341 0.6298
P 0.5841 0.3341 0.8702
P 0.9159 0.6659 0.3702
Pb 0.2173 0.4793 0.7098
Pb 0.2827 0.5207 0.2098
Pb 0.7173 0.0207 0.2902
Pb 0.7827 0.9793 0.7902
F 0.0879 0.6603 0.9602
F 0.4121 0.3397 0.4602
F 0.5879 0.8397 0.0398
F 0.9121 0.1603 0.5398

Main lines, low angle first (2θ = 15–90°):
2theta, Rel. int.
18.86, 20
26.47, 46
26.80, 100
29.75, 88
32.21, 28
35.46, 25
38.04, 41
38.26, 45
49.20, 40
56.39, 21


Record 4
Starting from a PBE-relaxed structure, the powder XRD pattern of Cu4SnS4 was calculated for λ = 1.5418 Å (Cu Kα).

Crystal structure
a b c (Å): 13.5586 7.6573 6.4621
angles (deg): 90.00 90.00 90.00
Atoms (fractional coordinates):
Cu 0.0726 0.2500 0.0988
Cu 0.1652 0.2500 0.4335
Cu 0.1657 0.5118 0.8827
Cu 0.1657 0.9882 0.8827
Cu 0.3343 0.0118 0.3827
Cu 0.3343 0.4882 0.3827
Cu 0.3348 0.7500 0.9335
Cu 0.4274 0.7500 0.5988
Cu 0.5726 0.2500 0.4012
Cu 0.6652 0.2500 0.0665
Cu 0.6657 0.5118 0.6173
Cu 0.6657 0.9882 0.6173
Cu 0.8343 0.0118 0.1173
Cu 0.8343 0.4882 0.1173
Cu 0.8348 0.7500 0.5665
Cu 0.9274 0.7500 0.9012
Sn 0.0824 0.7500 0.3867
Sn 0.4176 0.2500 0.8867
Sn 0.5824 0.7500 0.1133
Sn 0.9176 0.2500 0.6133
S 0.0814 0.7500 0.7715
S 0.0908 0.2500 0.7480
S 0.1763 0.0024 0.2417
S 0.1763 0.4976 0.2417
S 0.3237 0.5024 0.7417
S 0.3237 0.9976 0.7417
S 0.4092 0.7500 0.2480
S 0.4186 0.2500 0.2715
S 0.5814 0.7500 0.7285
S 0.5908 0.2500 0.7520
S 0.6763 0.0024 0.2583
S 0.6763 0.4976 0.2583
S 0.8237 0.5024 0.7583
S 0.8237 0.9976 0.7583
S 0.9092 0.7500 0.2520
S 0.9186 0.2500 0.2285

Main lines, low angle first (2θ = 15–90°):
2theta, Rel. int.
26.29, 37
26.74, 100
27.87, 26
28.40, 38
30.75, 38
33.67, 42
37.85, 22
46.68, 40
47.50, 33
50.44, 64


Record 5
Starting from a PBE-relaxed structure, the powder XRD pattern of InFe2Bi was calculated for λ = 1.5418 Å (Cu Kα).

Crystal structure
a b c (Å): 6.4079 6.4079 6.4079
angles (deg): 90.00 90.00 90.00
Atoms (fractional coordinates):
In 0.0000 0.0000 0.0000
In 0.0000 0.0000 0.5000
In 0.0000 0.5000 0.0000
In 0.5000 0.0000 0.0000
Fe 0.2479 0.2479 0.2479
Fe 0.2479 0.2479 0.7521
Fe 0.2479 0.7521 0.2479
Fe 0.2479 0.7521 0.7521
Fe 0.7521 0.2479 0.2479
Fe 0.7521 0.2479 0.7521
Fe 0.7521 0.7521 0.2479
Fe 0.7521 0.7521 0.7521
Bi 0.0000 0.5000 0.5000
Bi 0.5000 0.0000 0.5000
Bi 0.5000 0.5000 0.0000
Bi 0.5000 0.5000 0.5000

Main lines, low angle first (2θ = 15–90°):
2theta, Rel. int.
24.05, 2
27.85, 27
31.21, 4
39.79, 100
42.31, 2
49.26, 8
57.53, 17
65.10, 11
72.23, 34
85.77, 11


Record 6
Starting from a PBE-relaxed structure, the powder XRD pattern of Zr5H was calculated for λ = 1.5418 Å (Cu Kα).

Crystal structure
a b c (Å): 5.8053 5.8053 5.1384
angles (deg): 90.00 90.00 120.00
Atoms (fractional coordinates):
Zr 0.0000 0.5000 0.0000
Zr 0.3333 0.6667 0.5000
Zr 0.5000 0.0000 0.0000
Zr 0.5000 0.5000 0.0000
Zr 0.6667 0.3333 0.5000
H 0.0000 0.0000 0.5000

Main lines, low angle first (2θ = 15–90°):
2theta, Rel. int.
17.64, 100
34.92, 38
35.52, 78
35.72, 17
39.39, 25
39.93, 98
57.88, 18
64.17, 18
66.00, 21
75.19, 22


Record 7
Starting from a PBE-relaxed structure, the powder XRD pattern of LaPrFe2Bi4 was calculated for λ = 1.5418 Å (Cu Kα).

Crystal structure
a b c (Å): 4.5333 4.5333 10.2980
angles (deg): 90.00 90.00 90.00
Atoms (fractional coordinates):
La 0.0000 0.0000 0.0000
Pr 0.5000 0.5000 0.5148
Fe 0.0000 0.5000 0.7571
Fe 0.5000 0.0000 0.7571
Bi 0.0000 0.0000 0.6025
Bi 0.0000 0.5000 0.2595
Bi 0.5000 0.0000 0.2595
Bi 0.5000 0.5000 0.9114

Main lines, low angle first (2θ = 15–90°):
2theta, Rel. int.
25.96, 26
26.19, 25
29.18, 43
32.72, 15
32.91, 100
39.77, 49
48.10, 21
48.55, 17
57.49, 18
67.87, 25


Record 8
Starting from a PBE-relaxed structure, the powder XRD pattern of Dy2Ho2CIBr2Cl2 was calculated for λ = 1.5418 Å (Cu Kα).

Crystal structure
a b c (Å): 8.7631 8.7631 8.4438
angles (deg): 103.45 103.45 25.21
Atoms (fractional coordinates):
Dy 0.1436 0.1436 0.0714
Dy 0.8564 0.8564 0.9286
Ho 0.4988 0.4988 0.1905
Ho 0.5012 0.5012 0.8095
C 0.0000 0.0000 0.0000
I 0.0000 0.0000 0.5000
Br 0.3298 0.3298 0.6723
Br 0.6702 0.6702 0.3277
Cl 0.3297 0.3297 0.1448
Cl 0.6703 0.6703 0.8552

Main lines, low angle first (2θ = 15–90°):
2theta, Rel. int.
21.56, 23
28.98, 30
31.56, 100
31.81, 40
32.34, 44
34.72, 16
36.99, 21
45.67, 26
45.96, 27
47.54, 19


Record 9
Starting from a PBE-relaxed structure, the powder XRD pattern of TbSmIn2Pd4 was calculated for λ = 1.5418 Å (Cu Kα).

Crystal structure
a b c (Å): 4.6258 4.6258 8.9921
angles (deg): 90.00 90.00 120.00
Atoms (fractional coordinates):
Tb 0.0000 0.0000 0.0000
Sm 0.3333 0.6667 0.5000
In 0.6667 0.3333 0.2465
In 0.6667 0.3333 0.7535
Pd 0.0000 0.0000 0.3327
Pd 0.0000 0.0000 0.6673
Pd 0.3333 0.6667 0.1621
Pd 0.3333 0.6667 0.8379

Main lines, low angle first (2θ = 15–90°):
2theta, Rel. int.
22.19, 9
29.87, 35
37.47, 96
38.94, 100
55.15, 31
66.63, 15
69.56, 31
70.52, 17
79.95, 9
83.61, 11


Record 10
Starting from a PBE-relaxed structure, the powder XRD pattern of NaPuAgTe2Se was calculated for λ = 1.5418 Å (Cu Kα).

Crystal structure
a b c (Å): 8.1217 4.2434 10.3379
angles (deg): 90.00 105.21 90.00
Atoms (fractional coordinates):
Na 0.2474 0.2500 0.2205
Na 0.7526 0.7500 0.7795
Pu 0.1727 0.7500 0.6517
Pu 0.8273 0.2500 0.3483
Ag 0.4196 0.2500 0.9071
Ag 0.5804 0.7500 0.0929
Te 0.2112 0.7500 0.9577
Te 0.4388 0.2500 0.6416
Te 0.5612 0.7500 0.3584
Te 0.7888 0.2500 0.0423
Se 0.0662 0.7500 0.3647
Se 0.9338 0.2500 0.6353

Main lines, low angle first (2θ = 15–90°):
2theta, Rel. int.
23.85, 43
26.53, 35
26.81, 62
30.62, 60
31.06, 100
33.79, 67
39.48, 24
42.61, 43
43.17, 60
45.47, 45


Record 11
Starting from a PBE-relaxed structure, the powder XRD pattern of NpTl2Cl6 was calculated for λ = 1.5418 Å (Cu Kα).

Crystal structure
a b c (Å): 7.3654 7.3654 6.8488
angles (deg): 102.90 102.90 59.93
Atoms (fractional coordinates):
Np 0.0000 0.0000 0.0000
Tl 0.2906 0.2906 0.7795
Tl 0.7094 0.7094 0.2205
Cl 0.1554 0.6573 0.1690
Cl 0.1693 0.1693 0.3081
Cl 0.3427 0.8446 0.8310
Cl 0.6573 0.1554 0.1690
Cl 0.8307 0.8307 0.6919
Cl 0.8446 0.3427 0.8310

Main lines, low angle first (2θ = 15–90°):
2theta, Rel. int.
16.94, 34
20.68, 100
24.19, 40
24.81, 45
25.44, 79
29.68, 43
32.15, 29
36.64, 51
41.52, 44
49.56, 28


Record 12
Starting from a PBE-relaxed structure, the powder XRD pattern of Tb2ErIn3Ir2Au was calculated for λ = 1.5418 Å (Cu Kα).

Crystal structure
a b c (Å): 3.8822 7.6568 7.6568
angles (deg): 119.72 90.00 90.00
Atoms (fractional coordinates):
Tb 0.0000 0.2049 0.7951
Tb 0.0000 0.7951 0.2049
Er 0.0000 0.6143 0.6143
In 0.5000 0.2056 0.4732
In 0.5000 0.4732 0.2056
In 0.5000 0.9359 0.9359
Ir 0.5000 0.5384 0.8692
Ir 0.5000 0.8692 0.5384
Au 0.0000 0.2054 0.2054

Main lines, low angle first (2θ = 15–90°):
2theta, Rel. int.
23.20, 13
32.83, 77
35.58, 100
35.82, 19
40.71, 35
40.89, 17
42.88, 24
46.80, 24
63.73, 19
65.95, 23